Simulated X-ray diffraction stick pattern of BaAl9Ni2 for Cu Kα X-rays, from a structure optimized by DFT (GGA-PBE).
Intensities are scaled so that the largest is 100.

Peak list (12 most intense, 2θ = 10–90°, sorted by position)
hkl	Position (°2θ)	I/Imax
1 1 0	22.34	100
2 0 0	25.87	17
1 1 1	31.83	86
2 0 1	34.44	70
2 2 0	45.59	84
0 0 2	45.71	21
2 2 1	51.38	50
4 0 0	53.14	12
4 1 0	61.64	11
2 2 2	66.49	39
4 1 2	80.01	10
6 0 1	88.61	26

Atomic structure:
```
data_BaAl9Ni2
_symmetry_space_group_name_H-M 'P 6/m m m'
_symmetry_Int_Tables_number 191
_symmetry_space_group_name_Hall '-P 6 2'
_cell_length_a 7.9626
_cell_length_b 7.9626
_cell_length_c 3.9699
_cell_angle_alpha 90.00
_cell_angle_beta 90.00
_cell_angle_gamma 120.00
loop_
_atom_site_label
_atom_site_type_symbol
_atom_site_fract_x
_atom_site_fract_y
_atom_site_fract_z
_atom_site_occupancy
Ba1 Ba 0.0000 0.0000 0.0000 1
Al1 Al 0.0000 0.5000 0.0000 1
Al2 Al 0.2136 0.4272 0.5000 1
Ni1 Ni 0.3333 0.6667 0.0000 1
```